Structure and simulated X-ray powder pattern of RbSmAgSe2 (a structure optimized by DFT (PBE); Cu Kα, 1.54184 Å).
No peak broadening, texture or thermal motion is included.

Largest 6 diffraction maxima, by angle, 10 to 80 degrees two-theta:
| d/Å | Position (°2θ) | I_rel |
| --- | --- | --- |
| 7.940 | 11.14 | 100 |
| 3.068 | 29.11 | 71 |
| 2.859 | 31.28 | 69 |
| 2.620 | 34.23 | 37 |
| 2.147 | 42.09 | 35 |
| 2.057 | 44.01 | 31 |

Lattice parameters (Å, degrees): 8.010 5.044 8.301 90.00 97.57 90.00
Fractional coordinates of all 10 atoms:
Rb 0.000 0.115 0.250
Rb 0.000 0.885 0.750
Sm 0.500 0.495 0.750
Sm 0.500 0.505 0.250
Ag 0.500 0.000 0.000
Ag 0.500 0.000 0.500
Se 0.260 0.379 0.971
Se 0.260 0.621 0.471
Se 0.740 0.379 0.529
Se 0.740 0.621 0.029

=====

Structure and simulated X-ray powder pattern of RbTb2Ag2Se4 (a structure optimized by DFT (PBE); Cu Kα, 1.54184 Å).
No peak broadening, texture or thermal motion is included.

Largest 6 diffraction maxima, by angle, 10 to 80 degrees two-theta:
| d/Å | Position (°2θ) | I_rel |
| --- | --- | --- |
| 3.092 | 28.87 | 81 |
| 2.763 | 32.40 | 64 |
| 2.720 | 32.93 | 55 |
| 2.538 | 35.37 | 100 |
| 2.348 | 38.33 | 57 |
| 2.234 | 40.38 | 55 |

Lattice parameters (Å, degrees): 7.936 7.936 8.496 115.44 115.44 28.54
Fractional coordinates of all 9 atoms:
Rb 0.000 0.000 0.000
Tb 0.127 0.127 0.555
Tb 0.873 0.873 0.445
Ag 0.301 0.301 0.955
Ag 0.699 0.699 0.045
Se 0.221 0.221 0.306
Se 0.465 0.465 0.291
Se 0.535 0.535 0.709
Se 0.779 0.779 0.694

=====

Structure and simulated X-ray powder pattern of RbAgTe2Se4 (a structure optimized by DFT (PBE); Cu Kα, 1.54184 Å).
No peak broadening, texture or thermal motion is included.

Largest 6 diffraction maxima, by angle, 10 to 80 degrees two-theta:
| d/Å | Position (°2θ) | I_rel |
| --- | --- | --- |
| 3.618 | 24.61 | 100 |
| 2.556 | 35.11 | 35 |
| 2.089 | 43.30 | 52 |
| 2.086 | 43.39 | 20 |
| 1.618 | 56.91 | 15 |
| 1.368 | 68.61 | 16 |

Lattice parameters (Å, degrees): 7.236 7.236 7.236 120.15 119.97 89.90
Fractional coordinates of all 8 atoms:
Rb 0.000 0.000 0.000
Ag 0.500 0.500 0.000
Te 0.249 0.749 0.500
Te 0.751 0.251 0.500
Se 0.136 0.558 0.001
Se 0.444 0.442 0.578
Se 0.556 0.134 0.999
Se 0.864 0.866 0.422

=====

Structure and simulated X-ray powder pattern of Rb2UAgSe5 (a structure optimized by DFT (PBE); Cu Kα, 1.54184 Å).
No peak broadening, texture or thermal motion is included.

Largest 6 diffraction maxima, by angle, 10 to 80 degrees two-theta:
| d/Å | Position (°2θ) | I_rel |
| --- | --- | --- |
| 8.382 | 10.55 | 64 |
| 7.065 | 12.53 | 37 |
| 5.846 | 15.15 | 45 |
| 3.370 | 26.44 | 39 |
| 3.102 | 28.78 | 100 |
| 2.001 | 45.32 | 33 |

Lattice parameters (Å, degrees): 10.622 10.622 14.131 90.00 90.00 157.17
Fractional coordinates of all 18 atoms:
Rb 0.118 0.882 0.500
Rb 0.123 0.877 0.132
Rb 0.877 0.123 0.632
Rb 0.882 0.118 0.000
U 0.204 0.796 0.826
U 0.796 0.204 0.326
Ag 0.424 0.576 0.243
Ag 0.576 0.424 0.743
Se 0.077 0.923 0.854
Se 0.293 0.707 0.452
Se 0.296 0.704 0.197
Se 0.328 0.672 0.819
Se 0.495 0.505 0.100
Se 0.505 0.495 0.600
Se 0.672 0.328 0.319
Se 0.704 0.296 0.697
Se 0.707 0.293 0.952
Se 0.923 0.077 0.354

=====

Structure and simulated X-ray powder pattern of Rb2AgWSe4 (a structure optimized by DFT (PBE); Cu Kα, 1.54184 Å).
No peak broadening, texture or thermal motion is included.

Largest 6 diffraction maxima, by angle, 10 to 80 degrees two-theta:
| d/Å | Position (°2θ) | I_rel |
| --- | --- | --- |
| 6.218 | 14.24 | 100 |
| 3.590 | 24.80 | 43 |
| 3.412 | 26.12 | 53 |
| 2.991 | 29.87 | 21 |
| 2.433 | 36.95 | 33 |
| 2.072 | 43.69 | 26 |

Lattice parameters (Å, degrees): 14.359 12.793 7.783 84.80 62.53 32.67
Fractional coordinates of all 16 atoms:
Rb 0.056 0.056 0.694
Rb 0.306 0.306 0.944
Rb 0.694 0.694 0.056
Rb 0.944 0.944 0.306
Ag 0.125 0.125 0.125
Ag 0.875 0.875 0.875
W 0.375 0.375 0.375
W 0.625 0.625 0.625
Se 0.002 0.633 0.547
Se 0.318 0.547 0.633
Se 0.367 0.998 0.682
Se 0.453 0.682 0.998
Se 0.547 0.318 0.002
Se 0.633 0.002 0.318
Se 0.682 0.453 0.367
Se 0.998 0.367 0.453